(1)
Computed powder X-ray diffraction pattern of SmInAu for Cu Kα (weighted mean of Kα1 and Kα2), from a crystal structure in the Materials Project, relaxed with PBE.
Peak positions follow from Bragg's law for the DFT cell and can differ from measured ones.

The 12 most intense peaks (2θ = 10–80°), by angle:
| index | 2θ/deg | I (rel.) |
| --- | --- | --- |
| 1 1 0 | 22.7 | 18 |
| 1 0 1 | 25.3 | 11 |
| 1 1 1 | 31.5 | 71 |
| 2 0 1 | 34.2 | 100 |
| 2 1 0 | 35.0 | 31 |
| 3 0 0 | 39.9 | 45 |
| 2 1 1 | 41.5 | 41 |
| 0 0 2 | 43.9 | 26 |
| 2 1 2 | 57.3 | 15 |
| 3 0 2 | 60.8 | 26 |
| 3 2 1 | 63.9 | 33 |
| 4 1 2 | 79.7 | 11 |

Crystal structure
```
data_SmInAu
_chemical_formula_sum 'Sm3 In3 Au3'
_cell_length_a 7.8349
_cell_length_b 7.8349
_cell_length_c 4.1255
_cell_angle_alpha 90.00
_cell_angle_beta 90.00
_cell_angle_gamma 120.00
_space_group_name_H-M_alt 'P -6 2 m'
_space_group_IT_number 189
_space_group_name_Hall 'P -6 -2'
loop_
_atom_site_label
_atom_site_type_symbol
_atom_site_fract_x
_atom_site_fract_y
_atom_site_fract_z
Sm1 Sm 0.0000 0.5900 0.0000
In1 In 0.0000 0.2554 0.5000
Au1 Au 0.0000 0.0000 0.0000
Au2 Au 0.3333 0.6667 0.5000
```

***

(2)
Computed powder X-ray diffraction pattern of ErCu3S3 for Cu Kα (weighted mean of Kα1 and Kα2), from a crystal structure in the Materials Project, relaxed with PBE.
Peak positions follow from Bragg's law for the DFT cell and can differ from measured ones.

The 12 most intense peaks (2θ = 10–80°), by angle:
| index | 2θ/deg | I (rel.) |
| --- | --- | --- |
| 1 0 0 | 15.4 | 32 |
| 1 0 1 | 20.9 | 28 |
| 2 -1 1 | 30.3 | 100 |
| 1 1 2 | 39.3 | 70 |
| 0 0 3 | 43.0 | 12 |
| 3 0 0 | 47.3 | 55 |
| 2 -1 3 | 51.4 | 18 |
| 2 2 1 | 57.2 | 16 |
| 4 -2 2 | 63.1 | 17 |
| 2 -1 4 | 65.4 | 12 |
| 3 0 3 | 65.8 | 19 |
| 5 -1 1 | 77.3 | 14 |

Crystal structure
```
data_ErCu3S3
_chemical_formula_sum 'Er2 Cu6 S6'
_cell_length_a 6.6614
_cell_length_b 6.6614
_cell_length_c 6.3132
_cell_angle_alpha 90.00
_cell_angle_beta 90.00
_cell_angle_gamma 120.00
_space_group_name_H-M_alt 'P -3 1 m'
_space_group_IT_number 162
_space_group_name_Hall '-P 3 2'
loop_
_atom_site_label
_atom_site_type_symbol
_atom_site_fract_x
_atom_site_fract_y
_atom_site_fract_z
Er1 Er 0.3333 0.6667 0.0000
Cu1 Cu 0.0000 0.3372 0.3698
S1 S 0.0000 0.3328 0.7519
```

***

(3)
Computed powder X-ray diffraction pattern of CrH12IN4Cl2 for Cu Kα (weighted mean of Kα1 and Kα2), from a crystal structure in the Materials Project, relaxed with PBE.
Peak positions follow from Bragg's law for the DFT cell and can differ from measured ones.

The 12 most intense peaks (2θ = 10–80°), by angle:
| index | 2θ/deg | I (rel.) |
| --- | --- | --- |
| 1 1 -1 | 17.2 | 87 |
| 2 0 0 | 18.1 | 33 |
| 0 2 0 | 20.2 | 45 |
| 1 1 1 | 21.5 | 100 |
| 2 2 0 | 27.2 | 21 |
| 2 2 -1 | 27.8 | 31 |
| 3 1 -1 | 28.2 | 21 |
| 1 1 -2 | 28.5 | 21 |
| 3 1 0 | 29.2 | 21 |
| 0 2 2 | 34.9 | 22 |
| 1 3 1 | 36.2 | 36 |
| 2 2 2 | 43.9 | 19 |

Crystal structure
```
data_CrH12IN4Cl2
_chemical_formula_sum 'Cr2 H24 I2 N8 Cl4'
_cell_length_a 10.3568
_cell_length_b 8.8032
_cell_length_c 6.6956
_cell_angle_alpha 90.00
_cell_angle_beta 109.01
_cell_angle_gamma 90.00
_space_group_name_H-M_alt 'C 1 2/m 1'
_space_group_IT_number 12
loop_
_space_group_symop_operation_xyz
'x,y,z'
'-x,-y,-z'
'-x,y,-z'
'x,-y,z'
'x+1/2,y+1/2,z'
'-x+1/2,-y+1/2,-z'
'-x+1/2,y+1/2,-z'
'x+1/2,-y+1/2,z'
loop_
_atom_site_label
_atom_site_type_symbol
_atom_site_fract_x
_atom_site_fract_y
_atom_site_fract_z
Cr1 Cr 0.0000 0.0000 0.0000
H1 H 0.0704 0.2110 0.3048
H2 H 0.1324 0.2620 0.1175
H3 H 0.2115 0.1324 0.2861
I1 I 0.0000 0.5000 0.5000
N1 N 0.1158 0.1702 0.1995
Cl1 Cl 0.1548 0.0000 0.8157
```

***

(4)
Computed powder X-ray diffraction pattern of Y2Cu3S6 for Cu Kα (weighted mean of Kα1 and Kα2), from a crystal structure in the Materials Project, relaxed with PBE.
Peak positions follow from Bragg's law for the DFT cell and can differ from measured ones.

The 12 most intense peaks (2θ = 10–80°), by angle:
| index | 2θ/deg | I (rel.) |
| --- | --- | --- |
| 2 0 0 | 13.1 | 71 |
| 2 1 0 | 15.2 | 36 |
| 1 1 1 | 17.4 | 34 |
| 3 0 1 | 24.3 | 100 |
| 1 3 1 | 28.1 | 71 |
| 3 3 1 | 33.9 | 58 |
| 4 3 0 | 35.4 | 35 |
| 1 3 2 | 37.7 | 31 |
| 4 0 2 | 39.1 | 33 |
| 2 3 2 | 39.5 | 73 |
| 6 3 0 | 46.7 | 81 |
| 0 6 0 | 47.6 | 41 |

Crystal structure
```
data_Y2Cu3S6
_chemical_formula_sum 'Y8 Cu12 S24'
_cell_length_a 13.5568
_cell_length_b 11.4661
_cell_length_c 6.2765
_cell_angle_alpha 90.00
_cell_angle_beta 90.00
_cell_angle_gamma 90.00
_space_group_name_H-M_alt 'P n m a'
_space_group_IT_number 62
loop_
_space_group_symop_operation_xyz
'x,y,z'
'-x,-y,-z'
'-x+1/2,-y,z+1/2'
'x+1/2,y,-z+1/2'
'x+1/2,-y+1/2,-z+1/2'
'-x+1/2,y+1/2,z+1/2'
'-x,y+1/2,-z'
'x,-y+1/2,z'
loop_
_atom_site_label
_atom_site_type_symbol
_atom_site_fract_x
_atom_site_fract_y
_atom_site_fract_z
Y1 Y 0.1386 0.0807 0.0037
Cu1 Cu 0.0473 0.2500 0.6349
Cu2 Cu 0.0487 0.5868 0.6327
S1 S 0.0353 0.5789 0.2573
S2 S 0.0393 0.2500 0.2675
S3 S 0.2024 0.2500 0.7553
S4 S 0.2029 0.5881 0.7541
```

***

(5)
Computed powder X-ray diffraction pattern of Mg3MnH7 for Cu Kα (weighted mean of Kα1 and Kα2), from a crystal structure in the Materials Project, relaxed with PBE.
Peak positions follow from Bragg's law for the DFT cell and can differ from measured ones.

The 12 most intense peaks (2θ = 10–80°), by angle:
| index | 2θ/deg | I (rel.) |
| --- | --- | --- |
| 0 0 2 | 17.3 | 72 |
| 1 0 0 | 22.0 | 86 |
| 1 0 1 | 23.6 | 14 |
| 1 0 3 | 34.3 | 24 |
| 1 1 0 | 38.5 | 100 |
| 1 0 4 | 41.7 | 62 |
| 1 1 2 | 42.5 | 34 |
| 1 1 4 | 53.0 | 27 |
| 2 0 4 | 58.0 | 23 |
| 3 0 0 | 69.7 | 16 |
| 2 1 4 | 71.8 | 22 |
| 1 0 8 | 78.1 | 14 |

Crystal structure
```
data_Mg3MnH7
_chemical_formula_sum 'Mg6 Mn2 H14'
_cell_length_a 4.6749
_cell_length_b 4.6749
_cell_length_c 10.2712
_cell_angle_alpha 90.00
_cell_angle_beta 90.00
_cell_angle_gamma 120.00
_space_group_name_H-M_alt 'P 63/m m c'
_space_group_IT_number 194
_space_group_name_Hall '-P 6c 2c'
loop_
_atom_site_label
_atom_site_type_symbol
_atom_site_fract_x
_atom_site_fract_y
_atom_site_fract_z
Mg1 Mg 0.0000 0.0000 0.2500
Mg2 Mg 0.3333 0.6667 0.0662
Mn1 Mn 0.0000 0.0000 0.0000
H1 H 0.1631 0.3261 0.5931
H2 H 0.3333 0.6667 0.2500
```

***

(6)
Computed powder X-ray diffraction pattern of NdDyMg2 for Cu Kα (weighted mean of Kα1 and Kα2), from a crystal structure in the Materials Project, relaxed with PBE.
Peak positions follow from Bragg's law for the DFT cell and can differ from measured ones.

The 9 most intense peaks (2θ = 10–80°), by angle:
| index | 2θ/deg | I (rel.) |
| --- | --- | --- |
| 2 0 0 | 23.2 | 61 |
| 2 2 0 | 33.0 | 100 |
| 2 2 2 | 40.8 | 19 |
| 4 0 0 | 47.4 | 18 |
| 4 2 0 | 53.4 | 26 |
| 4 2 2 | 59.0 | 38 |
| 4 4 0 | 69.3 | 12 |
| 6 0 0 | 74.2 | 12 |
| 6 2 0 | 78.9 | 16 |

Crystal structure
```
data_NdDyMg2
_chemical_formula_sum 'Nd4 Dy4 Mg8'
_cell_length_a 7.6701
_cell_length_b 7.6701
_cell_length_c 7.6701
_cell_angle_alpha 90.00
_cell_angle_beta 90.00
_cell_angle_gamma 90.00
_space_group_name_H-M_alt 'F m -3 m'
_space_group_IT_number 225
_space_group_name_Hall '-F 4 2 3'
loop_
_atom_site_label
_atom_site_type_symbol
_atom_site_fract_x
_atom_site_fract_y
_atom_site_fract_z
Nd1 Nd 0.0000 0.0000 0.0000
Dy1 Dy 0.0000 0.0000 0.5000
Mg1 Mg 0.2500 0.2500 0.2500
```